For Cu7Hg6, a cell relaxed with GGA-PBE gives the simulated powder diffractogram in this record (CuKα).
Kinematic intensities with the Lorentz-polarization factor, no thermal factor.

Peak list (8 most intense, 5 to 70 degrees two-theta, in order of rising 2θ)
two_theta, I (rel.)
29.6, 29.4
29.8, 31.5
32.9, 25.4
35.1, 81.5
40.0, 100.0
40.1, 96.9
40.4, 89.3
44.4, 27.8

Cell and atoms:
Cell lengths 8.2765, 8.2765, 8.2765 Å; angles 109.74, 109.74, 109.74 degrees
Positions (direct):
Cu1 0.0000 0.0000 0.0000
Cu2 0.1275 0.3226 0.3226
Cu3 0.3226 0.1275 0.3226
Cu4 0.3226 0.3226 0.1275
Cu5 0.3277 0.3277 0.6454
Cu6 0.3277 0.6454 0.3277
Cu7 0.3547 0.6730 0.6730
Cu8 0.5000 0.5000 0.5000
Cu9 0.6454 0.3277 0.3277
Cu10 0.6730 0.3547 0.6730
Cu11 0.6730 0.6730 0.3547
Cu12 0.6765 0.6765 0.8722
Cu13 0.6765 0.8722 0.6765
Cu14 0.8722 0.6765 0.6765
Hg1 0.0526 0.0526 0.6978
Hg2 0.0526 0.6978 0.0526
Hg3 0.2967 0.9429 0.9429
Hg4 0.3856 0.6077 0.9983
Hg5 0.3856 0.9983 0.6077
Hg6 0.6077 0.3856 0.9983
Hg7 0.6077 0.9983 0.3856
Hg8 0.6978 0.0526 0.0526
Hg9 0.9429 0.2967 0.9429
Hg10 0.9429 0.9429 0.2967
Hg11 0.9983 0.3856 0.6077
Hg12 0.9983 0.6077 0.3856